For Sm4Lu11S22, a PBE-relaxed structure gives the calculated powder X-ray diffraction pattern in this record (Cu Ka).
Kinematic intensities with the Lorentz-polarization factor, no thermal factor.

Cell and atoms:
```
Sm4Lu11S22
1.0
19.253 -1.937 0.000
19.253 1.937 0.000
-0.261 0.000 11.168
Sm Lu S
4 11 22
Direct
0.105 0.105 0.013
0.367 0.367 0.347
0.633 0.633 0.653
0.895 0.895 0.987
0.000 0.000 0.000
0.070 0.070 0.361
0.202 0.202 0.942
0.264 0.264 0.352
0.342 0.342 0.699
0.462 0.462 0.271
0.538 0.538 0.729
0.658 0.658 0.301
0.736 0.736 0.648
0.798 0.798 0.058
0.930 0.930 0.639
0.008 0.008 0.240
0.088 0.088 0.753
0.135 0.135 0.454
0.169 0.169 0.151
0.189 0.189 0.691
0.255 0.255 0.120
0.280 0.280 0.589
0.351 0.351 0.092
0.407 0.407 0.788
0.445 0.445 0.494
0.453 0.453 0.031
0.547 0.547 0.969
0.555 0.555 0.506
0.593 0.593 0.212
0.649 0.649 0.908
0.720 0.720 0.411
0.745 0.745 0.880
0.811 0.811 0.309
0.831 0.831 0.849
0.865 0.865 0.546
0.912 0.912 0.247
0.992 0.992 0.760
```

Principal peaks in the range 10 to 90 degrees two-theta, by angle:
| 2θ (°) | Rel. int. |
| --- | --- |
| 23.90 | 80 |
| 24.64 | 100 |
| 25.38 | 38 |
| 26.89 | 59 |
| 27.84 | 49 |
| 28.16 | 65 |
| 32.06 | 61 |
| 34.54 | 54 |
| 42.81 | 54 |
| 46.90 | 48 |